This entry pairs a crystal structure of Hf2Co3Si4 with its computed powder diffraction line list. Radiation: CuKα. Structure: the GGA-PBE geometry in OQMD.
Peak positions follow from Bragg's law for the DFT cell and can differ from measured ones.

Cell and atoms:
Cell: 6.731 5.187 13.659 Å, 90.00 90.00 90.00°
Space group Pbcn (No. 60)
Unique sites:
Hf: 0.101 0.230 0.146
Co: 0.000 0.276 0.750
Co: 0.224 0.006 0.482
Si: 0.019 0.284 0.568
Si: 0.246 0.021 0.813

Top 12 peaks for 5° ≤ 2θ ≤ 70°, low angle first:
two_theta, I/Imax, index
18.51, 41, 1 0 2
22.60, 52, 1 1 1
29.29, 27, 1 1 3
32.38, 42, 2 1 1
37.49, 85, 2 1 3
39.52, 61, 0 0 6
39.62, 100, 1 1 5
42.41, 45, 3 0 2
43.83, 32, 0 2 4
44.08, 36, 2 2 0
57.41, 27, 2 1 7
65.37, 21, 1 3 5